Diffraction record for Nd3ZnGe3. The X-ray powder pattern is theoretical, not measured: it uses a structure optimized by DFT (GGA-PBE) and a wavelength of 1.5418 Å.
Neutral-atom scattering factors, no anomalous dispersion.

Structural model:
Lattice parameters (Å, degrees): 9.7912 9.7912 9.7912 155.71 153.97 35.91
Sites, in units of the cell vectors:
1 Nd 0.0000 0.0000 0.0000
2 Nd 0.1873 0.6873 0.5000
3 Nd 0.3666 0.3666 0.0000
4 Zn 0.6154 0.1154 0.5000
5 Ge 0.5392 0.5392 0.0000
6 Ge 0.7462 0.2462 0.5000
7 Ge 0.8338 0.8338 0.0000

Main lines, sorted by position (10 to 90 degrees two-theta):
2theta  d (Å)  I_rel
31.2  2.865  100
31.4  2.846  48
35.5  2.529  26
40.3  2.236  26
40.9  2.205  28
41.8  2.162  20
43.9  2.060  23
55.0  1.669  20


Diffraction record for NiGe2. The X-ray powder pattern is theoretical, not measured: it uses a structure optimized by DFT (GGA-PBE) and a wavelength of 1.5418 Å.
Neutral-atom scattering factors, no anomalous dispersion.

Structural model:
Lattice parameters (Å, degrees): 6.2046 6.2046 5.7850 90.00 90.00 55.98
Sites, in units of the cell vectors:
1 Ni 0.1151 0.1151 0.0000
2 Ni 0.3849 0.3849 0.5000
3 Ni 0.6151 0.6151 0.5000
4 Ni 0.8849 0.8849 0.0000
5 Ge 0.0018 0.4982 0.2500
6 Ge 0.1549 0.8451 0.6568
7 Ge 0.3451 0.6549 0.1568
8 Ge 0.4982 0.0018 0.7500
9 Ge 0.5018 0.9982 0.2500
10 Ge 0.6549 0.3451 0.8432
11 Ge 0.8451 0.1549 0.3432
12 Ge 0.9982 0.5018 0.7500

Main lines, sorted by position (10 to 90 degrees two-theta):
2theta  d (Å)  I_rel
32.8  2.729  66
35.6  2.521  48
44.1  2.052  90
45.5  1.995  99
45.6  1.989  100
47.0  1.933  43
50.3  1.815  42
50.6  1.806  42


Diffraction record for Ni19Ge12. The X-ray powder pattern is theoretical, not measured: it uses a structure optimized by DFT (GGA-PBE) and a wavelength of 1.5418 Å.
Neutral-atom scattering factors, no anomalous dispersion.

Structural model:
Lattice parameters (Å, degrees): 6.7308 6.7308 10.0794 90.10 90.10 59.94
Sites, in units of the cell vectors:
1 Ni 0.0000 0.0000 0.0000
2 Ni 0.0033 0.3501 0.1239
3 Ni 0.0064 0.6611 0.7519
4 Ni 0.0070 0.3118 0.6255
5 Ni 0.0224 0.3211 0.8767
6 Ni 0.3252 0.6525 0.1229
7 Ni 0.3252 0.6664 0.3741
8 Ni 0.3324 0.3281 0.5002
9 Ni 0.3336 0.6748 0.6259
10 Ni 0.3389 0.9936 0.2481
11 Ni 0.3475 0.6748 0.8771
12 Ni 0.6499 0.9967 0.8761
13 Ni 0.6691 0.3289 0.2426
14 Ni 0.6711 0.3309 0.7574
15 Ni 0.6719 0.6676 0.4998
16 Ni 0.6773 0.0010 0.6259
17 Ni 0.6789 0.9776 0.1233
18 Ni 0.6882 0.9930 0.3745
19 Ni 0.9990 0.3227 0.3741
20 Ge 0.0012 0.6475 0.9970
21 Ge 0.0053 0.6969 0.5016
22 Ge 0.0048 0.9638 0.2480
23 Ge 0.0362 0.9952 0.7520
24 Ge 0.3031 0.9947 0.4984
25 Ge 0.3045 0.3590 0.2509
26 Ge 0.3386 0.2967 0.7492
27 Ge 0.3525 0.9988 0.0030
28 Ge 0.6410 0.6955 0.7491
29 Ge 0.6491 0.3509 0.0000
30 Ge 0.6947 0.3053 0.5000
31 Ge 0.7033 0.6614 0.2508

Main lines, sorted by position (10 to 90 degrees two-theta):
2theta  d (Å)  I_rel
32.0  2.798  35
44.9  2.018  78
45.0  2.015  37
46.8  1.942  100
66.8  1.400  10
66.9  1.398  19
75.4  1.260  9
85.6  1.135  18


Diffraction record for Ni3Ge7. The X-ray powder pattern is theoretical, not measured: it uses a structure optimized by DFT (GGA-PBE) and a wavelength of 1.5418 Å.
Neutral-atom scattering factors, no anomalous dispersion.

Structural model:
Lattice parameters (Å, degrees): 7.4443 7.4443 7.4443 109.47 109.47 109.47
Sites, in units of the cell vectors:
1 Ni 0.0000 0.3388 0.3388
2 Ni 0.0000 0.6612 0.6612
3 Ni 0.3388 0.0000 0.3388
4 Ni 0.3388 0.3388 0.0000
5 Ni 0.6612 0.0000 0.6612
6 Ni 0.6612 0.6612 0.0000
7 Ge 0.0000 0.0000 0.3292
8 Ge 0.0000 0.0000 0.6708
9 Ge 0.0000 0.3292 0.0000
10 Ge 0.0000 0.6708 0.0000
11 Ge 0.2500 0.5000 0.7500
12 Ge 0.2500 0.7500 0.5000
13 Ge 0.3292 0.0000 0.0000
14 Ge 0.3292 0.3292 0.3292
15 Ge 0.5000 0.2500 0.7500
16 Ge 0.5000 0.7500 0.2500
17 Ge 0.6708 0.0000 0.0000
18 Ge 0.6708 0.6708 0.6708
19 Ge 0.7500 0.2500 0.5000
20 Ge 0.7500 0.5000 0.2500

Main lines, sorted by position (10 to 90 degrees two-theta):
2theta  d (Å)  I_rel
33.0  2.718  30
36.2  2.481  52
39.2  2.297  48
44.7  2.026  100
52.1  1.755  20
65.1  1.433  19
71.1  1.326  15
82.5  1.170  37


Diffraction record for Ni3Ge. The X-ray powder pattern is theoretical, not measured: it uses a structure optimized by DFT (GGA-PBE) and a wavelength of 1.5418 Å.
Neutral-atom scattering factors, no anomalous dispersion.

Structural model:
Lattice parameters (Å, degrees): 3.5765 3.5765 3.5765 90.00 90.00 90.00
Sites, in units of the cell vectors:
1 Ni 0.0000 0.0000 0.5000
2 Ni 0.0000 0.5000 0.0000
3 Ni 0.5000 0.0000 0.0000
4 Ge 0.5000 0.5000 0.5000

Main lines, sorted by position (10 to 90 degrees two-theta):
2theta  d (Å)  I_rel
43.8  2.065  100
51.1  1.788  47
75.1  1.264  28


Diffraction record for Ni3Ge. The X-ray powder pattern is theoretical, not measured: it uses a structure optimized by DFT (GGA-PBE) and a wavelength of 1.5418 Å.
Neutral-atom scattering factors, no anomalous dispersion.

Structural model:
Lattice parameters (Å, degrees): 4.7720 4.7720 4.7720 146.89 63.30 127.72
Sites, in units of the cell vectors:
1 Ni 0.0000 0.0000 0.0000
2 Ni 0.3707 0.6115 0.7592
3 Ni 0.8523 0.6115 0.2408
4 Ge 0.4916 0.9916 0.5000

Main lines, sorted by position (10 to 90 degrees two-theta):
2theta  d (Å)  I_rel
39.5  2.284  11
43.0  2.103  19
44.6  2.031  30
45.6  1.991  100
48.8  1.867  21
63.7  1.461  11
76.5  1.246  9
82.9  1.165  15


Diffraction record for Ni2Ge. The X-ray powder pattern is theoretical, not measured: it uses a structure optimized by DFT (GGA-PBE) and a wavelength of 1.5418 Å.
Neutral-atom scattering factors, no anomalous dispersion.

Structural model:
Lattice parameters (Å, degrees): 5.1253 3.8366 7.2914 90.00 90.00 90.00
Sites, in units of the cell vectors:
1 Ni 0.0431 0.2500 0.2096
2 Ni 0.1731 0.2500 0.5611
3 Ni 0.3269 0.7500 0.0611
4 Ni 0.4569 0.7500 0.7096
5 Ni 0.5431 0.2500 0.2904
6 Ni 0.6731 0.2500 0.9389
7 Ni 0.8269 0.7500 0.4389
8 Ni 0.9569 0.7500 0.7904
9 Ge 0.2104 0.2500 0.8877
10 Ge 0.2896 0.7500 0.3877
11 Ge 0.7104 0.2500 0.6123
12 Ge 0.7896 0.7500 0.1123

Main lines, sorted by position (10 to 90 degrees two-theta):
2theta  d (Å)  I_rel
42.4  2.131  58
43.1  2.097  27
44.1  2.053  100
44.3  2.045  83
47.4  1.918  58
47.7  1.906  29
51.8  1.763  22
86.0  1.130  21